The following is a theoretical powder diffractogram of SrLi3MnN3. It was derived from a structure optimized by DFT (PBE), using copper Kα.
No peak broadening, texture or thermal motion is included.

Peak list (12 most intense, 5° ≤ 2θ ≤ 70°, by intensity)
33.60 deg, d = 2.667 Å, I 100
13.88 deg, d = 6.382 Å, I 78
30.45 deg, d = 2.936 Å, I 68
37.33 deg, d = 2.409 Å, I 40
54.11 deg, d = 1.695 Å, I 30
25.56 deg, d = 3.485 Å, I 29
41.76 deg, d = 2.163 Å, I 28
29.20 deg, d = 3.059 Å, I 23
58.72 deg, d = 1.572 Å, I 17
56.15 deg, d = 1.638 Å, I 14
48.91 deg, d = 1.862 Å, I 13
65.22 deg, d = 1.430 Å, I 13

Cell and atoms:
```
data_SrLi3MnN3
_symmetry_space_group_name_H-M 'R -3'
_symmetry_Int_Tables_number 148
_symmetry_space_group_name_Hall '-R 3'
_cell_length_a 5.8712
_cell_length_b 5.8712
_cell_length_c 19.1462
_cell_angle_alpha 90.00
_cell_angle_beta 90.00
_cell_angle_gamma 120.00
loop_
_atom_site_label
_atom_site_type_symbol
_atom_site_fract_x
_atom_site_fract_y
_atom_site_fract_z
_atom_site_occupancy
Sr1 Sr 0.0000 0.0000 0.1622 1
Li1 Li 0.0257 0.3933 0.3695 1
Mn1 Mn 0.0000 0.0000 0.4329 1
N1 N 0.0055 0.2952 0.5900 1
```